For LiEr3Sc3Te8, DFT lattice parameters and positions (GGA-PBE) gives the theoretical powder XRD pattern in this record (Cu Kα, 1.54184 Å).
Intensities are scaled so that the largest is 100.

Cell and atoms:
Cell: 8.458 8.458 8.458 Å, 59.91 59.91 59.91°
Positions (direct):
Li 0.000 0.000 0.000
Er 0.000 0.000 0.500
Er 0.000 0.500 0.000
Er 0.500 0.000 0.000
Sc 0.000 0.500 0.500
Sc 0.500 0.000 0.500
Sc 0.500 0.500 0.000
Te 0.251 0.251 0.742
Te 0.251 0.742 0.251
Te 0.254 0.254 0.254
Te 0.258 0.749 0.749
Te 0.742 0.251 0.251
Te 0.746 0.746 0.746
Te 0.749 0.258 0.749
Te 0.749 0.749 0.258

The 10 most intense peaks (2θ from 15° to 90°), in order of rising 2θ:
| 2θ/deg | I (rel.) |
| --- | --- |
| 21.02 | 8 |
| 24.71 | 11 |
| 25.82 | 9 |
| 29.90 | 100 |
| 32.65 | 8 |
| 42.79 | 74 |
| 53.08 | 26 |
| 62.12 | 12 |
| 70.45 | 33 |
| 78.41 | 18 |

=====

For Li3Er3ScTe8, DFT lattice parameters and positions (GGA-PBE) gives the theoretical powder XRD pattern in this record (Cu Kα, 1.54184 Å).
Intensities are scaled so that the largest is 100.

Cell and atoms:
Cell: 8.617 8.617 8.617 Å, 59.04 59.04 59.04°
Positions (direct):
Li 0.000 0.500 0.500
Li 0.500 0.000 0.500
Li 0.500 0.500 0.000
Er 0.000 0.000 0.500
Er 0.000 0.500 0.000
Er 0.500 0.000 0.000
Sc 0.500 0.500 0.500
Te 0.252 0.252 0.252
Te 0.255 0.255 0.742
Te 0.255 0.742 0.255
Te 0.258 0.745 0.745
Te 0.742 0.255 0.255
Te 0.745 0.258 0.745
Te 0.745 0.745 0.258
Te 0.748 0.748 0.748

The 10 most intense peaks (2θ from 15° to 90°), in order of rising 2θ:
| 2θ/deg | I (rel.) |
| --- | --- |
| 24.57 | 18 |
| 25.64 | 11 |
| 29.54 | 100 |
| 41.94 | 38 |
| 42.59 | 37 |
| 52.68 | 20 |
| 61.31 | 12 |
| 69.05 | 17 |
| 69.97 | 17 |
| 77.51 | 12 |

=====

For Li3SmEr2Se6, DFT lattice parameters and positions (GGA-PBE) gives the theoretical powder XRD pattern in this record (Cu Kα, 1.54184 Å).
Intensities are scaled so that the largest is 100.

Cell and atoms:
Cell: 7.063 7.063 6.912 Å, 99.80 99.80 120.01°
Positions (direct):
Li 0.000 0.000 0.000
Li 0.332 0.668 0.000
Li 0.668 0.332 0.000
Sm 0.500 0.500 0.500
Er 0.167 0.833 0.500
Er 0.833 0.167 0.500
Se 0.075 0.416 0.247
Se 0.244 0.244 0.754
Se 0.416 0.075 0.247
Se 0.584 0.925 0.753
Se 0.756 0.756 0.246
Se 0.925 0.584 0.753

The 10 most intense peaks (2θ from 15° to 90°), in order of rising 2θ:
| 2θ/deg | I (rel.) |
| --- | --- |
| 25.64 | 38 |
| 31.28 | 100 |
| 34.26 | 19 |
| 44.43 | 38 |
| 45.20 | 36 |
| 46.69 | 14 |
| 55.34 | 20 |
| 73.58 | 17 |
| 74.70 | 16 |
| 82.38 | 12 |

=====

For LiSmEr2Se4, DFT lattice parameters and positions (GGA-PBE) gives the theoretical powder XRD pattern in this record (Cu Kα, 1.54184 Å).
Intensities are scaled so that the largest is 100.

Cell and atoms:
Cell: 7.048 4.044 7.049 Å, 90.00 109.20 90.00°
Positions (direct):
Li 0.000 0.000 0.000
Sm 0.500 0.500 0.000
Er 0.000 0.500 0.500
Er 0.500 0.000 0.500
Se 0.239 0.000 0.746
Se 0.243 0.500 0.251
Se 0.757 0.500 0.749
Se 0.761 0.000 0.254

The 10 most intense peaks (2θ from 15° to 90°), in order of rising 2θ:
| 2θ/deg | I (rel.) |
| --- | --- |
| 25.75 | 13 |
| 31.13 | 100 |
| 44.38 | 12 |
| 44.61 | 49 |
| 44.83 | 12 |
| 55.20 | 13 |
| 55.58 | 13 |
| 64.92 | 12 |
| 73.75 | 22 |
| 81.87 | 8 |

=====

For LiTbEr4Se8, DFT lattice parameters and positions (GGA-PBE) gives the theoretical powder XRD pattern in this record (Cu Kα, 1.54184 Å).
Intensities are scaled so that the largest is 100.

Cell and atoms:
Cell: 8.331 8.331 8.331 Å, 59.77 59.77 59.77°
Positions (direct):
Li 0.000 0.000 0.000
Tb 0.630 0.630 0.630
Er 0.109 0.631 0.631
Er 0.251 0.251 0.251
Er 0.631 0.109 0.631
Er 0.631 0.631 0.109
Se 0.382 0.382 0.851
Se 0.382 0.851 0.382
Se 0.384 0.384 0.384
Se 0.390 0.872 0.872
Se 0.851 0.382 0.382
Se 0.870 0.870 0.870
Se 0.872 0.390 0.872
Se 0.872 0.872 0.390

The 10 most intense peaks (2θ from 15° to 90°), in order of rising 2θ:
| 2θ/deg | I (rel.) |
| --- | --- |
| 15.07 | 15 |
| 25.11 | 100 |
| 30.40 | 97 |
| 39.76 | 15 |
| 39.85 | 40 |
| 43.45 | 60 |
| 43.61 | 60 |
| 54.09 | 18 |
| 63.26 | 19 |
| 79.98 | 19 |

=====

For Li2ErThSe4, DFT lattice parameters and positions (GGA-PBE) gives the theoretical powder XRD pattern in this record (Cu Kα, 1.54184 Å).
Intensities are scaled so that the largest is 100.

Cell and atoms:
Cell: 6.981 4.046 7.062 Å, 90.00 109.43 90.00°
Positions (direct):
Li 0.000 0.000 0.000
Li 0.000 0.500 0.500
Er 0.500 0.000 0.500
Th 0.500 0.500 0.000
Se 0.234 0.000 0.736
Se 0.243 0.500 0.254
Se 0.757 0.500 0.746
Se 0.766 0.000 0.264

The 10 most intense peaks (2θ from 15° to 90°), in order of rising 2θ:
| 2θ/deg | I (rel.) |
| --- | --- |
| 25.65 | 15 |
| 25.77 | 33 |
| 31.22 | 100 |
| 34.21 | 18 |
| 44.53 | 25 |
| 44.69 | 12 |
| 44.80 | 12 |
| 44.94 | 24 |
| 55.61 | 13 |
| 65.12 | 12 |

=====

For Li3Er2TmSe6, DFT lattice parameters and positions (GGA-PBE) gives the theoretical powder XRD pattern in this record (Cu Kα, 1.54184 Å).
Intensities are scaled so that the largest is 100.

Cell and atoms:
Cell: 6.982 6.982 6.892 Å, 99.72 99.72 120.00°
Positions (direct):
Li 0.000 0.000 0.000
Li 0.333 0.667 0.000
Li 0.667 0.333 0.000
Er 0.167 0.833 0.500
Er 0.833 0.167 0.500
Tm 0.500 0.500 0.500
Se 0.084 0.416 0.249
Se 0.251 0.251 0.751
Se 0.416 0.084 0.249
Se 0.584 0.916 0.751
Se 0.749 0.749 0.249
Se 0.916 0.584 0.751

The 10 most intense peaks (2θ from 15° to 90°), in order of rising 2θ:
| 2θ/deg | I (rel.) |
| --- | --- |
| 25.93 | 39 |
| 31.54 | 100 |
| 34.51 | 19 |
| 44.98 | 37 |
| 45.44 | 36 |
| 47.22 | 15 |
| 55.97 | 19 |
| 74.51 | 17 |
| 75.20 | 16 |
| 83.31 | 13 |

=====

For LiY3Er3Se8, DFT lattice parameters and positions (GGA-PBE) gives the theoretical powder XRD pattern in this record (Cu Kα, 1.54184 Å).
Intensities are scaled so that the largest is 100.

Cell and atoms:
Cell: 8.081 8.081 8.081 Å, 59.92 59.92 59.92°
Positions (direct):
Li 0.000 0.000 0.000
Y 0.000 0.000 0.500
Y 0.000 0.500 0.000
Y 0.500 0.000 0.000
Er 0.000 0.500 0.500
Er 0.500 0.000 0.500
Er 0.500 0.500 0.000
Se 0.247 0.247 0.750
Se 0.247 0.750 0.247
Se 0.250 0.753 0.753
Se 0.251 0.251 0.251
Se 0.749 0.749 0.749
Se 0.750 0.247 0.247
Se 0.753 0.250 0.753
Se 0.753 0.753 0.250

The 10 most intense peaks (2θ from 15° to 90°), in order of rising 2θ:
| 2θ/deg | I (rel.) |
| --- | --- |
| 15.52 | 17 |
| 22.01 | 15 |
| 31.33 | 100 |
| 35.14 | 9 |
| 38.62 | 7 |
| 44.90 | 73 |
| 55.79 | 19 |
| 65.37 | 12 |
| 74.28 | 32 |
| 82.85 | 18 |